(1)
Theoretical XRD peak list of Co6SiGe2 for Cu Kα X-rays, from a crystal structure in OQMD, relaxed with PBE.
No peak broadening, texture or thermal motion is included.

```
data_Co6SiGe2
_chemical_formula_sum 'Co6 Si1 Ge2'
_space_group_name_H-M_alt 'P 1'
_space_group_IT_number 1
_cell_length_a 6.628
_cell_length_b 6.628
_cell_length_c 2.717
_cell_angle_alpha 90.00
_cell_angle_beta 90.00
_cell_angle_gamma 120.00
loop_
_space_group_symop_operation_xyz
'x,y,z'
loop_
_atom_site_label
_atom_site_type_symbol
_atom_site_fract_x
_atom_site_fract_y
_atom_site_fract_z
_atom_site_occupancy
Co1 Co 0.000 0.283 0.000 1
Co2 Co 0.000 0.631 0.500 1
Co3 Co 0.283 0.000 0.000 1
Co4 Co 0.369 0.369 0.500 1
Co5 Co 0.631 0.000 0.500 1
Co6 Co 0.717 0.717 0.000 1
Si1 Si 0.000 0.000 0.500 1
Ge1 Ge 0.333 0.667 0.000 1
Ge2 Ge 0.667 0.333 0.000 1
```

Top 10 peaks for 5° ≤ 2θ ≤ 70°, in order of rising 2θ:
2θ/deg, d_spacing, I_rel
15.44, 5.740, 6
32.97, 2.717, 5
41.63, 2.169, 27
43.05, 2.101, 100
46.00, 1.973, 33
47.52, 1.913, 78
54.10, 1.695, 19
57.93, 1.592, 5
66.05, 1.415, 16
69.15, 1.359, 11


(2)
Theoretical XRD peak list of CoSi17Ge14 for Cu Kα X-rays, from a crystal structure in OQMD, relaxed with PBE.
No peak broadening, texture or thermal motion is included.

```
data_CoSi17Ge14
_chemical_formula_sum 'Co1 Si17 Ge14'
_space_group_name_H-M_alt 'P 1'
_space_group_IT_number 1
_cell_length_a 5.556
_cell_length_b 3.936
_cell_length_c 31.295
_cell_angle_alpha 90.00
_cell_angle_beta 90.05
_cell_angle_gamma 90.00
loop_
_space_group_symop_operation_xyz
'x,y,z'
loop_
_atom_site_label
_atom_site_type_symbol
_atom_site_fract_x
_atom_site_fract_y
_atom_site_fract_z
_atom_site_occupancy
Co1 Co 0.000 0.000 0.000 1
Si1 Si 0.239 0.500 0.627 1
Si2 Si 0.248 0.500 0.377 1
Si3 Si 0.249 0.500 0.125 1
Si4 Si 0.496 0.500 0.186 1
Si5 Si 0.498 0.500 0.686 1
Si6 Si 0.499 0.500 0.437 1
Si7 Si 0.500 0.500 0.941 1
Si8 Si 0.737 0.000 0.186 1
Si9 Si 0.737 0.000 0.438 1
Si10 Si 0.739 0.000 0.687 1
Si11 Si 0.744 0.000 0.945 1
Si12 Si 0.749 0.000 0.812 1
Si13 Si 0.755 0.000 0.056 1
Si14 Si 0.986 0.000 0.247 1
Si15 Si 0.986 0.000 0.749 1
Si16 Si 0.987 0.000 0.499 1
Si17 Si 0.998 0.000 0.627 1
Ge1 Ge 0.209 0.500 0.999 1
Ge2 Ge 0.236 0.500 0.248 1
Ge3 Ge 0.237 0.500 0.499 1
Ge4 Ge 0.237 0.500 0.748 1
Ge5 Ge 0.252 0.500 0.877 1
Ge6 Ge 0.487 0.500 0.313 1
Ge7 Ge 0.487 0.500 0.564 1
Ge8 Ge 0.497 0.500 0.061 1
Ge9 Ge 0.498 0.500 0.812 1
Ge10 Ge 0.748 0.000 0.312 1
Ge11 Ge 0.751 0.000 0.564 1
Ge12 Ge 0.984 0.000 0.878 1
Ge13 Ge 0.994 0.000 0.123 1
Ge14 Ge 0.999 0.000 0.377 1
```

Top 10 peaks for 5° ≤ 2θ ≤ 70°, in order of rising 2θ:
2θ/deg, d_spacing, I_rel
11.31, 7.824, 17
27.77, 3.212, 98
27.89, 3.199, 100
46.12, 1.968, 24
46.24, 1.963, 93
46.43, 1.956, 23
54.77, 1.676, 50
54.92, 1.672, 20
54.98, 1.670, 13
67.48, 1.388, 21


(3)
Theoretical XRD peak list of TbCo4Sn2Ge4 for Cu Kα X-rays, from a crystal structure in OQMD, relaxed with PBE.
No peak broadening, texture or thermal motion is included.

```
data_TbCo4Sn2Ge4
_chemical_formula_sum 'Tb1 Co4 Sn2 Ge4'
_space_group_name_H-M_alt 'P 1'
_space_group_IT_number 1
_cell_length_a 6.290
_cell_length_b 6.290
_cell_length_c 6.290
_cell_angle_alpha 116.73
_cell_angle_beta 116.73
_cell_angle_gamma 95.77
loop_
_space_group_symop_operation_xyz
'x,y,z'
loop_
_atom_site_label
_atom_site_type_symbol
_atom_site_fract_x
_atom_site_fract_y
_atom_site_fract_z
_atom_site_occupancy
Tb1 Tb 0.000 0.000 0.000 1
Co1 Co 0.242 0.242 0.669 1
Co2 Co 0.428 0.758 0.000 1
Co3 Co 0.572 0.572 0.331 1
Co4 Co 0.758 0.428 0.000 1
Sn1 Sn 0.000 0.500 0.500 1
Sn2 Sn 0.500 0.000 0.500 1
Ge1 Ge 0.125 0.479 0.000 1
Ge2 Ge 0.479 0.125 0.000 1
Ge3 Ge 0.521 0.521 0.646 1
Ge4 Ge 0.875 0.875 0.354 1
```

Top 10 peaks for 5° ≤ 2θ ≤ 70°, in order of rising 2θ:
2θ/deg, d_spacing, I_rel
32.14, 2.785, 63
34.52, 2.599, 100
34.68, 2.587, 34
38.60, 2.333, 48
42.48, 2.128, 47
43.37, 2.086, 25
44.51, 2.036, 38
47.30, 1.922, 24
51.42, 1.777, 25
67.27, 1.392, 31


(4)
Theoretical XRD peak list of TbCo4Sn4Ge2 for Cu Kα X-rays, from a crystal structure in OQMD, relaxed with PBE.
No peak broadening, texture or thermal motion is included.

```
data_TbCo4Sn4Ge2
_chemical_formula_sum 'Tb1 Co4 Sn4 Ge2'
_space_group_name_H-M_alt 'P 1'
_space_group_IT_number 1
_cell_length_a 6.587
_cell_length_b 6.587
_cell_length_c 6.587
_cell_angle_alpha 121.83
_cell_angle_beta 121.83
_cell_angle_gamma 86.86
loop_
_space_group_symop_operation_xyz
'x,y,z'
loop_
_atom_site_label
_atom_site_type_symbol
_atom_site_fract_x
_atom_site_fract_y
_atom_site_fract_z
_atom_site_occupancy
Tb1 Tb 0.000 0.000 0.000 1
Co1 Co 0.252 0.252 0.640 1
Co2 Co 0.388 0.748 0.000 1
Co3 Co 0.612 0.612 0.360 1
Co4 Co 0.748 0.388 0.000 1
Sn1 Sn 0.116 0.471 0.000 1
Sn2 Sn 0.471 0.116 0.000 1
Sn3 Sn 0.529 0.529 0.645 1
Sn4 Sn 0.884 0.884 0.355 1
Ge1 Ge 0.000 0.500 0.500 1
Ge2 Ge 0.500 0.000 0.500 1
```

Top 10 peaks for 5° ≤ 2θ ≤ 70°, in order of rising 2θ:
2θ/deg, d_spacing, I_rel
31.34, 2.855, 34
32.64, 2.743, 100
33.68, 2.661, 74
39.82, 2.264, 39
42.42, 2.131, 62
42.76, 2.115, 55
43.44, 2.083, 44
55.92, 1.644, 26
60.38, 1.533, 19
67.03, 1.396, 25


(5)
Theoretical XRD peak list of TmCo4Sn2Ge4 for Cu Kα X-rays, from a crystal structure in OQMD, relaxed with PBE.
No peak broadening, texture or thermal motion is included.

```
data_TmCo4Sn2Ge4
_chemical_formula_sum 'Tm1 Co4 Sn2 Ge4'
_space_group_name_H-M_alt 'P 1'
_space_group_IT_number 1
_cell_length_a 6.275
_cell_length_b 6.275
_cell_length_c 6.275
_cell_angle_alpha 116.78
_cell_angle_beta 116.78
_cell_angle_gamma 95.67
loop_
_space_group_symop_operation_xyz
'x,y,z'
loop_
_atom_site_label
_atom_site_type_symbol
_atom_site_fract_x
_atom_site_fract_y
_atom_site_fract_z
_atom_site_occupancy
Tm1 Tm 0.000 0.000 0.000 1
Co1 Co 0.241 0.241 0.664 1
Co2 Co 0.423 0.759 0.000 1
Co3 Co 0.577 0.577 0.336 1
Co4 Co 0.759 0.423 0.000 1
Sn1 Sn 0.000 0.500 0.500 1
Sn2 Sn 0.500 0.000 0.500 1
Ge1 Ge 0.127 0.475 0.000 1
Ge2 Ge 0.475 0.127 0.000 1
Ge3 Ge 0.525 0.525 0.652 1
Ge4 Ge 0.873 0.873 0.348 1
```

Top 10 peaks for 5° ≤ 2θ ≤ 70°, in order of rising 2θ:
2θ/deg, d_spacing, I_rel
32.23, 2.777, 70
34.60, 2.592, 100
34.74, 2.582, 35
38.72, 2.326, 50
42.61, 2.122, 50
44.50, 2.036, 26
44.61, 2.031, 41
51.53, 1.773, 26
60.48, 1.531, 33
67.48, 1.388, 32


(6)
Theoretical XRD peak list of YCo4Sn2Ge4 for Cu Kα X-rays, from a crystal structure in OQMD, relaxed with PBE.
No peak broadening, texture or thermal motion is included.

```
data_YCo4Sn2Ge4
_chemical_formula_sum 'Y1 Co4 Sn2 Ge4'
_space_group_name_H-M_alt 'P 1'
_space_group_IT_number 1
_cell_length_a 6.283
_cell_length_b 6.283
_cell_length_c 6.283
_cell_angle_alpha 116.63
_cell_angle_beta 116.63
_cell_angle_gamma 95.95
loop_
_space_group_symop_operation_xyz
'x,y,z'
loop_
_atom_site_label
_atom_site_type_symbol
_atom_site_fract_x
_atom_site_fract_y
_atom_site_fract_z
_atom_site_occupancy
Y1 Y 0.000 0.000 0.000 1
Co1 Co 0.241 0.241 0.667 1
Co2 Co 0.426 0.759 0.000 1
Co3 Co 0.574 0.574 0.333 1
Co4 Co 0.759 0.426 0.000 1
Sn1 Sn 0.000 0.500 0.500 1
Sn2 Sn 0.500 0.000 0.500 1
Ge1 Ge 0.127 0.478 0.000 1
Ge2 Ge 0.478 0.127 0.000 1
Ge3 Ge 0.522 0.522 0.648 1
Ge4 Ge 0.873 0.873 0.352 1
```

Top 10 peaks for 5° ≤ 2θ ≤ 70°, in order of rising 2θ:
2θ/deg, d_spacing, I_rel
28.57, 3.124, 28
32.14, 2.785, 52
34.55, 2.596, 100
34.76, 2.581, 27
38.58, 2.334, 51
42.47, 2.129, 47
43.35, 2.087, 49
44.57, 2.033, 48
47.42, 1.917, 37
51.53, 1.774, 24


(7)
Theoretical XRD peak list of TbCo6Ge6 for Cu Kα X-rays, from a crystal structure in OQMD, relaxed with PBE.
No peak broadening, texture or thermal motion is included.

```
data_TbCo6Ge6
_chemical_formula_sum 'Tb1 Co6 Ge6'
_space_group_name_H-M_alt 'P 1'
_space_group_IT_number 1
_cell_length_a 5.098
_cell_length_b 5.098
_cell_length_c 7.854
_cell_angle_alpha 90.00
_cell_angle_beta 90.00
_cell_angle_gamma 120.00
loop_
_space_group_symop_operation_xyz
'x,y,z'
loop_
_atom_site_label
_atom_site_type_symbol
_atom_site_fract_x
_atom_site_fract_y
_atom_site_fract_z
_atom_site_occupancy
Tb1 Tb 0.000 0.000 0.000 1
Co1 Co 0.000 0.500 0.251 1
Co2 Co 0.000 0.500 0.749 1
Co3 Co 0.500 0.000 0.251 1
Co4 Co 0.500 0.000 0.749 1
Co5 Co 0.500 0.500 0.251 1
Co6 Co 0.500 0.500 0.749 1
Ge1 Ge 0.000 0.000 0.345 1
Ge2 Ge 0.000 0.000 0.655 1
Ge3 Ge 0.333 0.667 0.000 1
Ge4 Ge 0.333 0.667 0.500 1
Ge5 Ge 0.667 0.333 0.000 1
Ge6 Ge 0.667 0.333 0.500 1
```

Top 10 peaks for 5° ≤ 2θ ≤ 70°, in order of rising 2θ:
2θ/deg, d_spacing, I_rel
35.21, 2.549, 71
40.04, 2.252, 38
40.88, 2.207, 55
42.27, 2.138, 100
46.24, 1.963, 24
47.24, 1.924, 44
49.94, 1.826, 20
54.36, 1.688, 17
66.44, 1.407, 17
68.03, 1.378, 23


(8)
Theoretical XRD peak list of TlCoGeTe3 for Cu Kα X-rays, from a crystal structure in OQMD, relaxed with PBE.
No peak broadening, texture or thermal motion is included.

```
data_TlCoGeTe3
_chemical_formula_sum 'Tl2 Co2 Ge2 Te6'
_space_group_name_H-M_alt 'P 1'
_space_group_IT_number 1
_cell_length_a 8.586
_cell_length_b 3.929
_cell_length_c 10.551
_cell_angle_alpha 90.00
_cell_angle_beta 107.78
_cell_angle_gamma 90.00
loop_
_space_group_symop_operation_xyz
'x,y,z'
loop_
_atom_site_label
_atom_site_type_symbol
_atom_site_fract_x
_atom_site_fract_y
_atom_site_fract_z
_atom_site_occupancy
Tl1 Tl 0.222 0.250 0.270 1
Tl2 Tl 0.778 0.750 0.730 1
Co1 Co 0.366 0.750 0.847 1
Co2 Co 0.634 0.250 0.153 1
Ge1 Ge 0.117 0.250 0.546 1
Ge2 Ge 0.883 0.750 0.454 1
Te1 Te 0.154 0.250 0.810 1
Te2 Te 0.356 0.750 0.594 1
Te3 Te 0.426 0.750 0.098 1
Te4 Te 0.574 0.250 0.902 1
Te5 Te 0.644 0.250 0.406 1
Te6 Te 0.846 0.750 0.190 1
```

Top 10 peaks for 5° ≤ 2θ ≤ 70°, in order of rising 2θ:
2θ/deg, d_spacing, I_rel
17.66, 5.022, 21
25.48, 3.496, 21
28.85, 3.094, 92
31.58, 2.833, 100
32.20, 2.780, 51
33.99, 2.638, 51
46.20, 1.965, 32
47.06, 1.931, 58
57.43, 1.605, 20
58.60, 1.575, 35